# 1
For CuAgF3, a PBE-relaxed structure gives the calculated powder diffraction line list in this record (Cu Kα (λ = 1.5418 Å)).
Lines closer than 0.1° are merged.

a b c (Å): 5.646 5.662 8.040
angles (deg): 89.46 89.74 88.84
Atoms (fractional coordinates):
Cu  0.000  0.000  0.000
Cu  0.000  0.000  0.500
Cu  0.500  0.500  0.000
Cu  0.500  0.500  0.500
Ag  0.026  0.502  0.250
Ag  0.473  0.008  0.750
Ag  0.527  0.992  0.250
Ag  0.974  0.498  0.750
F  0.020  0.930  0.737
F  0.201  0.275  0.967
F  0.227  0.300  0.533
F  0.284  0.783  0.458
F  0.287  0.787  0.040
F  0.495  0.426  0.238
F  0.505  0.574  0.762
F  0.713  0.213  0.960
F  0.716  0.217  0.542
F  0.773  0.700  0.467
F  0.799  0.725  0.033
F  0.980  0.070  0.263

Top 10 peaks for 2θ = 10–80°, by intensity:
d [Å]  intensity
2.824  100
2.833  97
2.863  53
2.815  49
2.010  34
2.019  34
1.979  30
1.623  27
1.633  21
1.636  20

---

# 2
For InGaCuAgSe4, a PBE-relaxed structure gives the calculated powder diffraction line list in this record (Cu Kα (λ = 1.5418 Å)).
Lines closer than 0.1° are merged.

a b c (Å): 5.953 5.953 11.559
angles (deg): 90.00 90.00 90.00
Atoms (fractional coordinates):
In  0.000  0.000  0.000
In  0.500  0.500  0.500
Ga  0.000  0.500  0.750
Ga  0.500  0.000  0.250
Cu  0.000  0.000  0.500
Cu  0.500  0.500  0.000
Ag  0.000  0.500  0.250
Ag  0.500  0.000  0.750
Se  0.221  0.751  0.625
Se  0.249  0.221  0.375
Se  0.251  0.279  0.875
Se  0.279  0.749  0.125
Se  0.721  0.251  0.125
Se  0.749  0.721  0.875
Se  0.751  0.779  0.375
Se  0.779  0.249  0.625

Top 10 peaks for 2θ = 10–80°, by intensity:
d [Å]  intensity
3.403  100
2.073  48
1.790  29
2.105  24
1.752  14
1.209  14
1.346  11
1.488  7
1.364  5
2.594  5

---

# 3
For Ga2CuAgSe4, a PBE-relaxed structure gives the calculated powder diffraction line list in this record (Cu Kα (λ = 1.5418 Å)).
Lines closer than 0.1° are merged.

a b c (Å): 5.839 5.839 11.249
angles (deg): 90.00 90.00 90.00
Atoms (fractional coordinates):
Ga  0.000  0.000  0.000
Ga  0.000  0.500  0.250
Ga  0.500  0.000  0.750
Ga  0.500  0.500  0.500
Cu  0.000  0.500  0.750
Cu  0.500  0.000  0.250
Ag  0.000  0.000  0.500
Ag  0.500  0.500  0.000
Se  0.236  0.237  0.868
Se  0.237  0.764  0.132
Se  0.263  0.736  0.632
Se  0.264  0.263  0.368
Se  0.736  0.737  0.368
Se  0.737  0.264  0.632
Se  0.763  0.236  0.132
Se  0.764  0.763  0.868

Top 10 peaks for 2θ = 10–80°, by intensity:
d [Å]  intensity
3.328  100
2.025  48
1.754  30
2.065  25
1.707  14
1.316  11
1.460  8
1.337  6
1.406  4
2.544  2

---

# 4
For CuAgGeSe3, a PBE-relaxed structure gives the calculated powder diffraction line list in this record (Cu Kα (λ = 1.5418 Å)).
Lines closer than 0.1° are merged.

a b c (Å): 7.055 7.055 7.181
angles (deg): 100.73 100.73 119.50
Atoms (fractional coordinates):
Cu  0.083  0.917  0.500
Cu  0.917  0.083  0.000
Ag  0.245  0.755  0.988
Ag  0.755  0.245  0.488
Ge  0.399  0.566  0.469
Ge  0.566  0.399  0.969
Se  0.053  0.188  0.358
Se  0.188  0.053  0.858
Se  0.350  0.852  0.382
Se  0.555  0.706  0.851
Se  0.706  0.555  0.351
Se  0.852  0.350  0.882

Top 10 peaks for 2θ = 10–80°, by intensity:
d [Å]  intensity
3.349  100
3.336  54
3.303  53
2.061  49
2.046  49
2.006  24
2.031  24
1.773  16
1.735  15
1.730  14

---

# 5
For Cu2AgHS2O10, a PBE-relaxed structure gives the calculated powder diffraction line list in this record (Cu Kα (λ = 1.5418 Å)).
Lines closer than 0.1° are merged.

a b c (Å): 5.328 5.328 8.066
angles (deg): 114.17 114.17 70.17
Atoms (fractional coordinates):
Cu  0.000  0.500  0.000
Cu  0.500  0.000  0.000
Ag  0.000  0.000  0.500
H  0.000  0.000  0.000
S  0.417  0.417  0.706
S  0.583  0.583  0.294
O  0.156  0.156  0.047
O  0.264  0.671  0.239
O  0.302  0.302  0.499
O  0.315  0.315  0.808
O  0.329  0.736  0.761
O  0.671  0.264  0.239
O  0.685  0.685  0.192
O  0.698  0.698  0.501
O  0.736  0.329  0.761
O  0.844  0.844  0.953

Top 10 peaks for 2θ = 10–80°, by intensity:
d [Å]  intensity
3.366  100
2.805  92
4.677  72
4.355  69
2.788  63
2.338  55
2.598  44
1.705  37
3.492  32
2.468  31

---

# 6
For Cu2AgHSe2O10, a PBE-relaxed structure gives the calculated powder diffraction line list in this record (Cu Kα (λ = 1.5418 Å)).
Lines closer than 0.1° are merged.

a b c (Å): 5.408 5.408 8.248
angles (deg): 113.68 113.68 69.89
Atoms (fractional coordinates):
Cu  0.000  0.500  0.000
Cu  0.500  0.000  0.000
Ag  0.000  0.000  0.500
H  0.000  0.000  0.000
Se  0.420  0.420  0.706
Se  0.580  0.580  0.294
O  0.155  0.155  0.045
O  0.225  0.680  0.242
O  0.283  0.283  0.480
O  0.320  0.320  0.831
O  0.320  0.775  0.758
O  0.680  0.225  0.242
O  0.680  0.680  0.169
O  0.717  0.717  0.520
O  0.775  0.320  0.758
O  0.845  0.845  0.955

Top 10 peaks for 2θ = 10–80°, by intensity:
d [Å]  intensity
3.432  100
2.845  61
2.868  58
4.740  55
2.537  54
2.643  50
1.729  38
3.681  36
2.597  25
2.417  24

---

# 7
For Ho2Cu5Ag5, a PBE-relaxed structure gives the calculated powder diffraction line list in this record (Cu Kα (λ = 1.5418 Å)).
Lines closer than 0.1° are merged.

a b c (Å): 5.225 5.225 9.186
angles (deg): 107.62 107.62 64.29
Atoms (fractional coordinates):
Ho  0.000  0.000  0.000
Ho  0.502  0.502  0.497
Cu  0.065  0.065  0.674
Cu  0.125  0.125  0.374
Cu  0.571  0.571  0.195
Cu  0.626  0.626  0.873
Cu  0.819  0.819  0.434
Ag  0.066  0.571  0.193
Ag  0.067  0.566  0.677
Ag  0.318  0.318  0.933
Ag  0.566  0.067  0.677
Ag  0.571  0.066  0.193

Top 10 peaks for 2θ = 10–80°, by intensity:
d [Å]  intensity
2.262  100
2.333  98
2.193  86
2.225  80
2.306  76
2.238  55
2.604  50
2.682  37
1.341  33
2.145  33

---

# 8
For In2CuAgS4, a PBE-relaxed structure gives the calculated powder diffraction line list in this record (Cu Kα (λ = 1.5418 Å)).
Lines closer than 0.1° are merged.

a b c (Å): 5.740 5.740 11.407
angles (deg): 90.00 90.00 90.00
Atoms (fractional coordinates):
In  0.000  0.000  0.000
In  0.000  0.500  0.250
In  0.500  0.000  0.750
In  0.500  0.500  0.500
Cu  0.000  0.500  0.750
Cu  0.500  0.000  0.250
Ag  0.000  0.000  0.500
Ag  0.500  0.500  0.000
S  0.232  0.260  0.867
S  0.240  0.732  0.633
S  0.260  0.768  0.133
S  0.268  0.240  0.367
S  0.732  0.760  0.367
S  0.740  0.232  0.133
S  0.760  0.268  0.633
S  0.768  0.740  0.867

Top 10 peaks for 2θ = 10–80°, by intensity:
d [Å]  intensity
3.307  100
2.023  37
1.730  29
2.029  19
2.870  14
1.722  14
1.313  11
2.852  7
1.653  6
1.435  6

---

What did the seventh record say?
For Ho2Cu5Ag5, a PBE-relaxed structure gives the calculated powder diffraction line list in this record (Cu Kα (λ = 1.5418 Å)).
Lines closer than 0.1° are merged.

a b c (Å): 5.225 5.225 9.186
angles (deg): 107.62 107.62 64.29
Atoms (fractional coordinates):
Ho  0.000  0.000  0.000
Ho  0.502  0.502  0.497
Cu  0.065  0.065  0.674
Cu  0.125  0.125  0.374
Cu  0.571  0.571  0.195
Cu  0.626  0.626  0.873
Cu  0.819  0.819  0.434
Ag  0.066  0.571  0.193
Ag  0.067  0.566  0.677
Ag  0.318  0.318  0.933
Ag  0.566  0.067  0.677
Ag  0.571  0.066  0.193

Top 10 peaks for 2θ = 10–80°, by intensity:
d [Å]  intensity
2.262  100
2.333  98
2.193  86
2.225  80
2.306  76
2.238  55
2.604  50
2.682  37
1.341  33
2.145  33